The following is a computed powder diffraction line list of Y3AlC3. It was derived from a structure optimized by DFT (GGA-PBE), using Cu Kα X-rays.

Crystal structure
a = 7.058 Å, b = 3.589 Å, c = 9.997 Å
α = 90.00°, β = 90.00°, γ = 90.00°
Space group Pmma (No. 51)
Unique sites:
Y: 0.010 0.000 0.199 x4
Y: 0.250 0.500 0.457 x2
Al: 0.250 0.500 0.006 x2
C: 0.009 0.000 0.566 x4
C: 0.250 0.500 0.209 x2

Top 6 peaks for 5° ≤ 2θ ≤ 70°, by angle:
2θ (°)	I (rel.)	(hkl)
26.76	57.4	0 0 3
30.67	71.1	0 1 2
31.02	68.4	2 0 2
35.68	100.0	2 1 0
45.15	36.1	2 1 3
60.80	21.9	2 2 2

The following is a computed powder diffraction line list of SiO2. It was derived from a structure optimized by DFT (GGA-PBE), using Cu Kα X-rays.

Crystal structure
a = 6.902 Å, b = 7.715 Å, c = 6.807 Å
α = 90.00°, β = 102.55°, γ = 90.00°
Space group C2 (No. 5)
Unique sites:
Si: 0.008 0.000 0.237 x4
Si: 0.186 0.633 0.431 x4
O: 0.000 0.018 0.000 x2
O: 0.000 0.538 0.500 x2
O: 0.109 0.815 0.321 x4
O: 0.142 0.156 0.361 x4
O: 0.219 0.017 0.727 x4

Top 6 peaks for 5° ≤ 2θ ≤ 70°, by angle:
2θ (°)	I (rel.)	(hkl)
13.33	100.0	0 0 1
17.48	76.2	1 1 0
23.06	42.8	0 2 0
23.74	34.9	1 1 1
26.72	21.6	0 2 1
26.95	26.8	2 0 -1